Theoretical powder diffractogram of Li9Mn14O32 for Cu Kα (λ = 1.5418 Å), from the PBE+U geometry in Alexandria.
Lines closer than 0.1° are merged.

Most intense lines, 2θ = 10–90°, low angle first:
index  2θ (°)  I_rel
0 0 4  18.55  100
2 2 -2  35.93  33
2 0 6  36.04  10
2 2 -6  43.66  37
4 0 4  43.81  18
4 2 -8  57.75  9
6 0 2  57.85  6
0 4 0  63.44  16
2 2 10  63.69  11
0 4 4  66.71  7

Atomic structure:
Cell: 10.1565 5.8664 19.3946 Å, 90.00 100.29 90.00°
Space group Cm (No. 8)
Inequivalent atoms, fractional coordinates:
1 Li 0.0000 0.0000 0.0000 [2 per cell]
2 Li 0.0058 0.5000 0.5105 [2 per cell]
3 Li 0.0650 0.5000 0.6951 [2 per cell]
4 Li 0.1602 0.0000 0.4741 [2 per cell]
5 Li 0.2512 0.5000 0.2544 [2 per cell]
6 Li 0.2614 0.0000 0.7574 [2 per cell]
7 Li 0.2840 0.5000 0.8480 [2 per cell]
8 Li 0.3077 0.0000 0.9403 [2 per cell]
9 Li 0.3147 0.5000 0.4377 [2 per cell]
10 Mn 0.0329 0.5000 0.0983 [2 per cell]
11 Mn 0.0351 0.2497 0.8476 [4 per cell]
12 Mn 0.0357 0.2456 0.3482 [4 per cell]
13 Mn 0.0370 0.0000 0.5984 [2 per cell]
14 Mn 0.1564 0.5000 0.9702 [2 per cell]
15 Mn 0.2814 0.0000 0.3479 [2 per cell]
16 Mn 0.2826 0.2490 0.0979 [4 per cell]
17 Mn 0.2845 0.2473 0.5988 [4 per cell]
18 Mn 0.4088 0.0000 0.2214 [2 per cell]
19 Mn 0.4099 0.5000 0.7266 [2 per cell]
20 O 0.0777 0.5000 0.2883 [2 per cell]
21 O 0.0848 0.0000 0.7893 [2 per cell]
22 O 0.0915 0.5000 0.7962 [2 per cell]
23 O 0.0996 0.0000 0.2954 [2 per cell]
24 O 0.1023 0.2781 0.0398 [4 per cell]
25 O 0.1081 0.2304 0.5466 [4 per cell]
26 O 0.2019 0.2715 0.9125 [4 per cell]
27 O 0.2110 0.5000 0.1525 [2 per cell]
28 O 0.2123 0.2305 0.3998 [4 per cell]
29 O 0.2198 0.0000 0.6521 [2 per cell]
30 O 0.2412 0.0000 0.1569 [2 per cell]
31 O 0.2415 0.5000 0.6588 [2 per cell]
32 O 0.3260 0.5000 0.0384 [2 per cell]
33 O 0.3379 0.0000 0.5470 [2 per cell]
34 O 0.3505 0.5000 0.5460 [2 per cell]
35 O 0.3557 0.0000 0.0428 [2 per cell]
36 O 0.3571 0.2207 0.2876 [4 per cell]
37 O 0.3668 0.2705 0.7824 [4 per cell]
38 O 0.4608 0.2182 0.1573 [4 per cell]
39 O 0.4631 0.2808 0.6574 [4 per cell]
40 O 0.4686 0.0000 0.4002 [2 per cell]
41 O 0.4773 0.5000 0.8988 [2 per cell]
42 O 0.4813 0.5000 0.3998 [2 per cell]
43 O 0.4846 0.0000 0.9061 [2 per cell]